This entry pairs a crystal structure of Sm8Dy3 with its theoretical powder diffraction line list. Radiation: a wavelength of 1.5418 Å. Structure: a cell relaxed with PBE.

Largest 10 diffraction maxima, low angle first, 2θ from 10° to 90°:
2θ (°)	intensity
24.65	22.8
29.64	100.0
29.91	44.2
30.18	68.6
32.50	30.1
36.96	30.1
42.61	48.0
52.93	15.7
65.28	15.2
78.69	13.4

Cell and atoms:
Lattice parameters (Å, degrees): 7.5741 7.5741 7.5741 105.46 105.46 105.46
Sites, in units of the cell vectors:
Sm (0.1833, 0.6766, 0.5710)
Sm (0.2320, 0.2320, 0.2320)
Sm (0.3234, 0.4290, 0.8167)
Sm (0.4290, 0.8167, 0.3234)
Sm (0.5710, 0.1833, 0.6766)
Sm (0.6766, 0.5710, 0.1833)
Sm (0.7680, 0.7680, 0.7680)
Sm (0.8167, 0.3234, 0.4290)
Dy (0.0000, 0.0000, 0.5000)
Dy (0.0000, 0.5000, 0.0000)
Dy (0.5000, 0.0000, 0.0000)